1.
The following is a computed powder XRD pattern of LiCrW. It was derived from a DFT-relaxed cell (PBE, Alexandria), using λ = 1.5418 Å (Cu Kα).
Lines closer than 0.1° are merged.

Atomic structure:
a b c (Å): 3.0106 4.3106 13.5663
angles (deg): 90.00 90.00 90.00
Fractional coordinates of all 12 atoms:
Li 0.0000 0.0000 0.0000
Li 0.0000 0.5000 0.5000
Li 0.5000 0.0000 0.5000
Li 0.5000 0.5000 0.0000
Cr 0.0000 0.0000 0.6684
Cr 0.0000 0.5000 0.1684
Cr 0.5000 0.0000 0.1684
Cr 0.5000 0.5000 0.6684
W 0.0000 0.0000 0.3201
W 0.0000 0.5000 0.8201
W 0.5000 0.0000 0.8201
W 0.5000 0.5000 0.3201

Principal peaks in the range 5° ≤ 2θ ≤ 70°, sorted by position:
2theta, I_rel
13.1, 100
26.3, 14
37.0, 28
39.9, 13
41.7, 48
41.9, 12
44.1, 10
50.0, 17
59.2, 8
60.8, 5

=====

2.
The following is a computed powder XRD pattern of LiZn2Cr. It was derived from a DFT-relaxed cell (PBE, Alexandria), using λ = 1.5418 Å (Cu Kα).
Lines closer than 0.1° are merged.

Atomic structure:
a b c (Å): 4.2946 4.2946 6.1138
angles (deg): 90.00 90.00 90.00
Fractional coordinates of all 8 atoms:
Li 0.0000 0.0000 0.0000
Li 0.5000 0.5000 0.5000
Zn 0.0000 0.0000 0.5000
Zn 0.0000 0.5000 0.7500
Zn 0.5000 0.0000 0.2500
Zn 0.5000 0.5000 0.0000
Cr 0.0000 0.5000 0.2500
Cr 0.5000 0.0000 0.7500

Principal peaks in the range 5° ≤ 2θ ≤ 70°, sorted by position:
2theta, I_rel
25.3, 45
29.2, 4
29.4, 8
41.9, 100
42.1, 49
49.5, 7
49.8, 14
60.6, 8
61.0, 15
66.9, 5

=====

3.
The following is a computed powder XRD pattern of LiZnCr. It was derived from a DFT-relaxed cell (PBE, Alexandria), using λ = 1.5418 Å (Cu Kα).
Lines closer than 0.1° are merged.

Atomic structure:
a b c (Å): 3.0111 3.0111 9.2866
angles (deg): 90.00 90.00 90.00
Fractional coordinates of all 6 atoms:
Li 0.0000 0.0000 0.0000
Li 0.0000 0.0000 0.3427
Zn 0.5000 0.5000 0.1625
Zn 0.5000 0.5000 0.5118
Cr 0.0000 0.0000 0.6891
Cr 0.5000 0.5000 0.8120

Principal peaks in the range 5° ≤ 2θ ≤ 70°, sorted by position:
2theta, I_rel
9.5, 41
19.1, 19
28.8, 21
29.7, 37
31.2, 10
41.9, 100
42.5, 52
46.9, 7
52.1, 15
61.6, 16

=====

4.
The following is a computed powder XRD pattern of Mg5Cr3. It was derived from a DFT-relaxed cell (PBE, Alexandria), using λ = 1.5418 Å (Cu Kα).
Lines closer than 0.1° are merged.

Atomic structure:
a b c (Å): 8.1752 8.1752 8.1687
angles (deg): 96.15 96.15 140.71
Fractional coordinates of all 16 atoms:
Mg 0.0804 0.7338 0.8001
Mg 0.2556 0.4570 0.6497
Mg 0.2581 0.2581 0.0180
Mg 0.2662 0.9196 0.1999
Mg 0.4570 0.2556 0.6497
Mg 0.5430 0.7444 0.3503
Mg 0.7338 0.0804 0.8001
Mg 0.7419 0.7419 0.9820
Mg 0.7444 0.5430 0.3503
Mg 0.9196 0.2662 0.1999
Cr 0.1119 0.1119 0.3444
Cr 0.2426 0.7574 0.5000
Cr 0.3288 0.6712 0.0000
Cr 0.6712 0.3288 0.0000
Cr 0.7574 0.2426 0.5000
Cr 0.8881 0.8881 0.6556

Principal peaks in the range 5° ≤ 2θ ≤ 70°, sorted by position:
2theta, I_rel
24.3, 17
25.8, 36
36.4, 26
36.8, 100
36.9, 37
37.4, 25
37.6, 47
37.9, 84
40.3, 20
48.5, 25

=====

> What is the formula in the third record?

LiZnCr